[1]
Computed PXRD pattern of Na2LiDyBr6 for Cu Kα (weighted mean of Kα1 and Kα2), from DFT lattice parameters and positions (GGA-PBE).
Intensities are scaled so that the largest is 100.

Structural model:
Lattice parameters (Å, degrees): 7.755 7.755 7.755 56.29 56.29 56.29
Fractional positions:
Na 0.000 0.000 0.000
Na 0.494 0.494 0.494
Li 0.207 0.207 0.207
Dy 0.694 0.694 0.694
Br 0.067 0.430 0.816
Br 0.314 0.924 0.574
Br 0.430 0.816 0.067
Br 0.574 0.314 0.924
Br 0.816 0.067 0.430
Br 0.924 0.574 0.314

Largest 8 diffraction maxima, by intensity, 5° ≤ 2θ ≤ 70°:
d (Å)  Rel. int.
3.188  100
2.430  46
5.314  36
2.112  32
6.026  30
1.865  25
2.657  18
1.761  13



[2]
Computed PXRD pattern of RbLi2DyBr6 for Cu Kα (weighted mean of Kα1 and Kα2), from DFT lattice parameters and positions (GGA-PBE).
Intensities are scaled so that the largest is 100.

Structural model:
Lattice parameters (Å, degrees): 7.329 7.349 7.979 62.67 62.84 60.17
Fractional positions:
Rb 0.000 0.000 0.000
Li 0.215 0.209 0.363
Li 0.727 0.727 0.818
Dy 0.524 0.525 0.425
Br 0.116 0.789 0.626
Br 0.383 0.522 0.151
Br 0.467 0.116 0.626
Br 0.523 0.940 0.151
Br 0.788 0.468 0.628
Br 0.940 0.384 0.153

Largest 8 diffraction maxima, by intensity, 5° ≤ 2θ ≤ 70°:
d (Å)  Rel. int.
3.231  100
5.391  68
3.969  56
2.490  49
3.038  45
6.071  44
2.118  30
3.219  30



[3]
Computed PXRD pattern of Rb2LiDyBr6 for Cu Kα (weighted mean of Kα1 and Kα2), from DFT lattice parameters and positions (GGA-PBE).
Intensities are scaled so that the largest is 100.

Structural model:
Lattice parameters (Å, degrees): 7.776 7.873 13.497 90.00 125.07 90.00
Fractional positions:
Rb 0.239 0.041 0.249
Rb 0.239 0.459 0.749
Rb 0.761 0.541 0.251
Rb 0.761 0.959 0.751
Li 0.000 0.000 0.500
Li 0.000 0.500 0.000
Dy 0.500 0.000 0.000
Dy 0.500 0.500 0.500
Br 0.185 0.214 0.972
Br 0.185 0.286 0.472
Br 0.260 0.714 0.973
Br 0.260 0.786 0.473
Br 0.303 0.006 0.749
Br 0.303 0.494 0.249
Br 0.697 0.506 0.751
Br 0.697 0.994 0.251
Br 0.740 0.214 0.527
Br 0.740 0.286 0.027
Br 0.815 0.714 0.528
Br 0.815 0.786 0.028

Largest 8 diffraction maxima, by intensity, 5° ≤ 2θ ≤ 70°:
d (Å)  Rel. int.
2.765  100
1.954  38
3.206  35
3.179  32
3.326  31
6.411  23
6.358  23
5.529  20



[4]
Computed PXRD pattern of DyLuBr for Cu Kα (weighted mean of Kα1 and Kα2), from DFT lattice parameters and positions (GGA-PBE).
Intensities are scaled so that the largest is 100.

Structural model:
Lattice parameters (Å, degrees): 3.672 3.672 7.207 90.00 90.00 120.00
Fractional positions:
Dy 0.000 0.000 0.000
Lu 0.333 0.667 0.641
Br 0.667 0.333 0.323

Largest 8 diffraction maxima, by intensity, 5° ≤ 2θ ≤ 70°:
d (Å)  Rel. int.
2.909  100
2.384  54
1.836  25
1.459  22
2.402  18
1.568  16
1.553  15
1.455  11